No. 1
Ir2OsRu3: theoretical XRD peak list (Cu Kα (λ = 1.5418 Å)), based on a DFT-relaxed cell (GGA-PBE, Alexandria).

Largest 8 diffraction maxima, most intense first, 10 to 90 degrees two-theta:
| 2θ/deg | Rel. int. |
| --- | --- |
| 40.66 | 100 |
| 47.25 | 33 |
| 69.16 | 26 |
| 83.31 | 19 |
| 11.50 | 18 |
| 47.42 | 16 |
| 83.58 | 13 |
| 35.02 | 9 |

Cell and atoms:
```
12
Lattice="5.770 -1.917 0.000 5.770 1.917 0.000 -3.858 0.000 7.696" Properties=species:S:1:pos:R:3 pbc="T T T"
Ir -0.988 0.000 2.877
Ir 0.935 0.000 4.819
Ir 6.748 0.000 2.878
Ir 8.671 0.000 4.820
Os 2.888 0.000 2.852
Os 4.794 0.000 4.844
Ru 0.964 0.000 0.948
Ru -0.974 0.000 6.725
Ru 4.798 0.000 0.952
Ru 2.885 0.000 6.744
Ru 8.656 0.000 0.972
Ru 6.718 0.000 6.749
```

=====

No. 2
TaIr2OsRu4: theoretical XRD peak list (Cu Kα (λ = 1.5418 Å)), based on a DFT-relaxed cell (GGA-PBE, Alexandria).

Largest 8 diffraction maxima, most intense first, 10 to 90 degrees two-theta:
| 2θ/deg | Rel. int. |
| --- | --- |
| 38.59 | 100 |
| 53.15 | 77 |
| 35.11 | 63 |
| 38.89 | 49 |
| 53.39 | 38 |
| 81.01 | 23 |
| 25.96 | 23 |
| 86.91 | 18 |

Cell and atoms:
```
16
Lattice="-2.701 4.631 5.112 2.701 -4.631 5.112 2.701 4.631 -5.112" Properties=species:S:1:pos:R:3 pbc="T T T"
Ta 0.000 0.000 0.000
Ta 0.000 4.631 0.000
Ir 2.701 0.000 0.000
Ir -1.350 2.315 2.556
Ir 0.000 0.000 5.112
Ir 1.350 2.315 2.556
Os 1.350 2.315 -2.556
Os 1.350 -2.315 2.556
Ru 1.385 2.315 -0.124
Ru 4.017 2.315 -0.124
Ru 2.701 0.013 2.452
Ru 0.000 0.013 2.660
Ru 2.701 4.618 2.452
Ru 0.000 4.618 2.660
Ru -1.316 2.315 5.236
Ru 1.316 2.315 5.236
```